1.
Diffraction record for Ac3OsBr3. The PXRD pattern is computed, not measured: it uses a structure optimized by DFT (PBE) and Cu Kα X-rays.
No peak broadening, texture or thermal motion is included.

Structure:
```
Ac3OsBr3
1.0
9.516 0.000 0.000
0.000 4.492 0.000
-0.881 0.000 12.823
Ac Os Br
6 2 6
direct
0.094 0.250 0.392
0.126 0.250 0.844
0.326 0.750 0.623
0.674 0.250 0.377
0.874 0.750 0.156
0.906 0.750 0.608
0.118 0.250 0.627
0.882 0.750 0.373
0.104 0.250 0.114
0.358 0.750 0.876
0.395 0.750 0.377
0.605 0.250 0.623
0.642 0.250 0.124
0.896 0.750 0.886
```

Largest 10 diffraction maxima, low angle first, 2θ = 10–90°:
2θ 11.21, d 7.893, intensity 27
2θ 11.97, d 7.392, intensity 17
2θ 27.33, d 3.263, intensity 100
2θ 27.83, d 3.205, intensity 49
2θ 34.99, d 2.564, intensity 16
2θ 37.91, d 2.373, intensity 15
2θ 38.43, d 2.342, intensity 32
2θ 40.15, d 2.246, intensity 20
2θ 40.36, d 2.235, intensity 32
2θ 49.55, d 1.839, intensity 19

2.
Diffraction record for Cs3H6Ru. The PXRD pattern is computed, not measured: it uses a structure optimized by DFT (PBE) and Cu Kα X-rays.
No peak broadening, texture or thermal motion is included.

Structure:
```
Cs3H6Ru
1.0
5.626 -3.249 0.000
5.626 3.249 0.000
-3.750 0.000 5.308
Cs H Ru
3 6 1
direct
0.000 0.000 0.000
0.250 0.250 0.750
0.750 0.750 0.250
0.311 0.311 0.310
0.311 0.688 0.688
0.312 0.689 0.312
0.688 0.311 0.688
0.689 0.312 0.312
0.689 0.689 0.690
0.500 0.500 0.500
```

Largest 8 diffraction maxima, low angle first, 2θ = 10–90°:
2θ 27.45, d 3.249, intensity 100
2θ 39.21, d 2.298, intensity 19
2θ 48.53, d 1.876, intensity 40
2θ 56.65, d 1.625, intensity 13
2θ 64.08, d 1.453, intensity 18
2θ 71.06, d 1.327, intensity 4
2θ 77.76, d 1.228, intensity 21
2θ 84.30, d 1.149, intensity 2

3.
Diffraction record for PuMnP3. The PXRD pattern is computed, not measured: it uses a structure optimized by DFT (PBE) and Cu Kα X-rays.
No peak broadening, texture or thermal motion is included.

Structure:
```
PuMnP3
1.0
11.556 0.000 0.000
0.000 5.080 0.000
0.000 0.000 5.341
Pu Mn P
4 4 12
direct
0.191 0.000 0.250
0.191 0.500 0.750
0.809 0.000 0.750
0.809 0.500 0.250
0.422 0.250 0.000
0.422 0.250 0.500
0.578 0.750 0.000
0.578 0.750 0.500
0.001 0.250 0.000
0.001 0.250 0.500
0.300 0.506 0.250
0.300 0.994 0.750
0.430 0.619 0.750
0.430 0.881 0.250
0.570 0.119 0.750
0.570 0.381 0.250
0.700 0.006 0.250
0.700 0.494 0.750
0.999 0.750 0.000
0.999 0.750 0.500
```

Largest 10 diffraction maxima, low angle first, 2θ = 10–90°:
2θ 15.34, d 5.778, intensity 25
2θ 23.09, d 3.852, intensity 22
2θ 25.39, d 3.507, intensity 100
2θ 28.76, d 3.105, intensity 48
2θ 37.08, d 2.424, intensity 28
2θ 38.73, d 2.325, intensity 29
2θ 38.97, d 2.311, intensity 18
2θ 39.66, d 2.273, intensity 66
2θ 49.53, d 1.841, intensity 27
2θ 55.27, d 1.662, intensity 21